Pr2MgMn2Ge2O10: simulated powder X-ray diffraction pattern (λ = 1.5418 Å (Cu Kα)), based on DFT lattice parameters and positions (PBE+U).

The 10 most intense peaks (15 to 90 degrees two-theta), in order of falling intensity:
- 2θ = 23.0°, d = 3.862 Å, intensity 1000, (1 1 0)
- 2θ = 31.7°, d = 2.823 Å, intensity 661, (2 -1 0)
- 2θ = 27.5°, d = 3.249 Å, intensity 624, (1 0 -2)
- 2θ = 27.7°, d = 3.223 Å, intensity 497, (0 0 2)
- 2θ = 28.8°, d = 3.095 Å, intensity 456, (1 1 -2)
- 2θ = 28.5°, d = 3.128 Å, intensity 448, (0 2 0)
- 2θ = 29.7°, d = 3.006 Å, intensity 446, (1 -2 0)
- 2θ = 33.0°, d = 2.713 Å, intensity 387, (-1 1 2)
- 2θ = 42.6°, d = 2.123 Å, intensity 329, (1 1 2)
- 2θ = 34.4°, d = 2.610 Å, intensity 292, (1 -1 2)

Atomic structure:
Cell: 6.047 6.550 6.929 Å, 103.01 104.98 97.31°
Element x y z (fractional)
1 Pr 0.000 0.000 0.000
2 Pr 0.347 0.568 0.507
3 Mg 0.747 0.485 0.034
4 Mn 0.482 0.098 0.684
5 Mn 0.592 0.132 0.251
6 Ge 0.250 0.587 0.019
7 Ge 0.910 0.836 0.484
8 O 0.178 0.914 0.693
9 O 0.244 0.366 0.131
10 O 0.346 0.837 0.214
11 O 0.446 0.554 0.869
12 O 0.501 0.280 0.497
13 O 0.685 0.175 0.989
14 O 0.697 0.855 0.625
15 O 0.894 0.000 0.313
16 O 0.908 0.574 0.343
17 O 0.961 0.608 0.899